1.
Ca3Si3H2O10: simulated PXRD pattern (λ = 1.5418 Å (Cu Kα)), based on a structure optimized by DFT (PBE).

Atomic structure:
Cell lengths 6.8975, 7.0528, 9.5652 Å; angles 95.83, 108.49, 95.54 degrees
Space group P-1 (No. 2)
One atom of each set of equivalent atoms:
Ca: 0.1774 0.2805 0.3440 x2
Ca: 0.2462 0.0953 0.6809 x2
Ca: 0.2687 0.8442 0.0091 x2
Si: 0.2666 0.8033 0.3740 x2
Si: 0.2766 0.3008 0.0501 x2
Si: 0.3277 0.6267 0.6600 x2
H: 0.0263 0.3987 0.6549 x2
H: 0.0954 0.4682 0.8815 x2
O: 0.0852 0.1944 0.0884 x2
O: 0.0850 0.6091 0.2927 x2
O: 0.1484 0.9773 0.4188 x2
O: 0.1954 0.7695 0.7247 x2
O: 0.2069 0.4087 0.5943 x2
O: 0.2214 0.4986 0.9718 x2
O: 0.3643 0.1546 0.9494 x2
O: 0.3995 0.8544 0.2691 x2
O: 0.4082 0.7230 0.5298 x2
O: 0.4464 0.3866 0.2163 x2

Most intense lines, 15° ≤ 2θ ≤ 90°, sorted by position:
| Position (°2θ) | I (rel.) | (hkl) |
| --- | --- | --- |
| 26.2 | 34 | 0 2 -1 |
| 27.5 | 93 | 2 0 0 |
| 28.8 | 85 | -1 2 1 |
| 29.8 | 100 | 0 0 3 |
| 32.0 | 44 | 1 2 -2 |
| 49.7 | 32 | 3 2 -2 |



2.
K2YHgI6: simulated PXRD pattern (λ = 1.5418 Å (Cu Kα)), based on a structure optimized by DFT (PBE).

Atomic structure:
Cell lengths 12.4482, 12.4482, 12.4482 Å; angles 90.00, 90.00, 90.00 degrees
Space group Fm-3m (No. 225)
One atom of each set of equivalent atoms:
K: 0.2500 0.2500 0.2500 x8
Y: 0.0000 0.0000 0.0000 x4
Hg: 0.0000 0.0000 0.5000 x4
I: 0.0000 0.0000 0.2428 x24

Most intense lines, 15° ≤ 2θ ≤ 90°, sorted by position:
| Position (°2θ) | I (rel.) | (hkl) |
| --- | --- | --- |
| 24.8 | 46 | 2 2 2 |
| 28.7 | 100 | 4 0 0 |
| 32.2 | 49 | 4 2 0 |
| 41.0 | 74 | 4 4 0 |
| 43.6 | 27 | 6 0 0 |
| 67.3 | 33 | 8 4 0 |



3.
BiOF: simulated PXRD pattern (λ = 1.5418 Å (Cu Kα)), based on a structure optimized by DFT (PBE).

Atomic structure:
Cell lengths 6.3766, 3.7916, 7.3888 Å; angles 90.00, 90.00, 90.00 degrees
Space group Pnma (No. 62)
One atom of each set of equivalent atoms:
Bi: 0.2198 0.2500 0.0864 x4
O: 0.1371 0.7500 0.9317 x4
F: 0.0428 0.7500 0.3392 x4

Most intense lines, 15° ≤ 2θ ≤ 90°, sorted by position:
| Position (°2θ) | I (rel.) | (hkl) |
| --- | --- | --- |
| 27.9 | 94 | 2 0 0 |
| 30.0 | 100 | 1 1 1 |
| 38.9 | 24 | 2 1 1 |
| 43.8 | 32 | 0 1 3 |
| 52.8 | 30 | 2 1 3 |
| 56.4 | 29 | 2 2 0 |



4.
Sm3Au: simulated PXRD pattern (λ = 1.5418 Å (Cu Kα)), based on a structure optimized by DFT (PBE).

Atomic structure:
Cell lengths 7.0281, 7.0281, 5.2599 Å; angles 90.00, 90.00, 120.00 degrees
Space group P6_3/mmc (No. 194)
One atom of each set of equivalent atoms:
Sm: 0.1772 0.3545 0.2500 x6
Au: 0.3333 0.6667 0.7500 x2

Most intense lines, 15° ≤ 2θ ≤ 90°, sorted by position:
| Position (°2θ) | I (rel.) | (hkl) |
| --- | --- | --- |
| 29.3 | 20 | 2 0 0 |
| 34.0 | 100 | 0 0 2 |
| 45.6 | 12 | 2 0 2 |
| 52.1 | 16 | 2 2 0 |
| 61.0 | 15 | 2 0 3 |
| 63.7 | 30 | 2 2 2 |



5.
PuGa6: simulated PXRD pattern (λ = 1.5418 Å (Cu Kα)), based on a structure optimized by DFT (PBE).

Atomic structure:
Cell lengths 5.8935, 5.8935, 7.6876 Å; angles 90.00, 90.00, 90.00 degrees
Space group P4/nbm (No. 125, origin choice 2)
One atom of each set of equivalent atoms:
Pu: 0.2500 0.7500 0.0000 x2
Ga: 0.0661 0.5661 0.3499 x8
Ga: 0.2500 0.2500 0.1570 x4

Most intense lines, 15° ≤ 2θ ≤ 90°, sorted by position:
| Position (°2θ) | I (rel.) | (hkl) |
| --- | --- | --- |
| 31.7 | 44 | 1 1 2 |
| 32.5 | 100 | 2 0 1 |
| 36.0 | 21 | 2 1 1 |
| 41.4 | 50 | 1 1 3 |
| 43.4 | 32 | 2 2 0 |
| 54.7 | 27 | 3 1 2 |



6.
Sb2C4O: simulated PXRD pattern (λ = 1.5418 Å (Cu Kα)), based on a structure optimized by DFT (PBE).

Atomic structure:
Cell lengths 6.3178, 7.8216, 16.1357 Å; angles 90.00, 90.00, 90.00 degrees
Space group P2_12_12_1 (No. 19)
One atom of each set of equivalent atoms:
Sb: 0.0907 0.1785 0.4469 x4
Sb: 0.2016 0.3633 0.1641 x4
C: 0.0143 0.0743 0.8851 x4
C: 0.1639 0.0008 0.9192 x4
C: 0.2261 0.3573 0.3625 x4
C: 0.2403 0.5927 0.7911 x4
O: 0.1045 0.5996 0.1418 x4

Most intense lines, 15° ≤ 2θ ≤ 90°, sorted by position:
| Position (°2θ) | I (rel.) | (hkl) |
| --- | --- | --- |
| 15.8 | 94 | 0 1 2 |
| 18.9 | 100 | 1 1 1 |
| 20.0 | 58 | 0 1 3 |
| 21.2 | 48 | 1 1 2 |
| 26.2 | 45 | 1 0 4 |
| 28.6 | 42 | 1 1 4 |



7.
CaAl2SiO6: simulated PXRD pattern (λ = 1.5418 Å (Cu Kα)), based on a structure optimized by DFT (PBE).

Atomic structure:
Cell lengths 5.3338, 8.7431, 9.7051 Å; angles 89.61, 74.62, 89.32 degrees
Space group P1 (No. 1)
One atom of each set of equivalent atoms:
Ca: 0.0000 0.0000 0.0000 x1
Ca: 0.0038 0.8767 0.4851 x1
Ca: 0.4905 0.3778 0.0004 x1
Ca: 0.5150 0.5008 0.4806 x1
Al: 0.0021 0.5969 0.0010 x1
Al: 0.0290 0.2801 0.4890 x1
Al: 0.1727 0.5938 0.2852 x1
Al: 0.1767 0.2861 0.7828 x1
Al: 0.3289 0.0923 0.2110 x1
Al: 0.4989 0.7793 0.9983 x1
Al: 0.5003 0.0963 0.4976 x1
Al: 0.6685 0.7888 0.2845 x1
Si: 0.3174 0.7820 0.7097 x1
Si: 0.6762 0.0910 0.7856 x1
Si: 0.8206 0.5903 0.7103 x1
Si: 0.8302 0.2864 0.2076 x1
O: 0.1059 0.6761 0.6513 x1
O: 0.1207 0.2137 0.1394 x1
O: 0.1899 0.4575 0.8699 x1
O: 0.2165 0.4164 0.3602 x1
O: 0.2284 0.1033 0.3991 x1
O: 0.2358 0.7756 0.8843 x1
O: 0.2720 0.6117 0.0944 x1
O: 0.2850 0.2667 0.5954 x1
O: 0.3145 0.9440 0.6304 x1
O: 0.3148 0.9244 0.1192 x1
O: 0.3595 0.7161 0.3609 x1
O: 0.3838 0.1627 0.8531 x1
O: 0.6054 0.6956 0.6501 x1
O: 0.6350 0.1785 0.1443 x1
O: 0.7005 0.9650 0.3642 x1
O: 0.7006 0.9211 0.8528 x1
O: 0.7318 0.6018 0.8856 x1
O: 0.7529 0.2757 0.3856 x1
O: 0.7614 0.1077 0.6081 x1
O: 0.7723 0.7657 0.0921 x1
O: 0.8066 0.4540 0.1360 x1
O: 0.8285 0.4286 0.6294 x1
O: 0.8609 0.6661 0.3603 x1
O: 0.8690 0.2004 0.8498 x1

Most intense lines, 15° ≤ 2θ ≤ 90°, sorted by position:
| Position (°2θ) | I (rel.) | (hkl) |
| --- | --- | --- |
| 29.9 | 100 | 1 2 -1 |
| 30.1 | 81 | -1 2 1 |
| 30.8 | 42 | -1 1 2 |
| 35.1 | 73 | 2 0 2 |
| 35.7 | 44 | 1 2 3 |
| 36.1 | 44 | 1 -2 3 |